The following is a calculated powder XRD pattern of Cd2Sb2O7. It was derived from a DFT-relaxed cell (GGA-PBE, Alexandria), using Cu Kα (weighted mean of Kα1 and Kα2).

Structural model:
```
22
Lattice="-3.670 5.182 3.752 3.670 -5.182 3.752 3.670 5.182 -3.752" Properties=species:S:1:pos:R:3 pbc="T T T"
Cd 0.000 0.000 0.000
Cd -1.835 2.591 1.876
Cd 0.000 5.182 0.000
Cd 1.835 2.591 1.876
Sb 1.835 2.591 -1.876
Sb 1.835 -2.591 1.876
Sb 3.670 0.000 0.000
Sb 0.000 0.000 3.752
O 2.146 1.219 -0.471
O 5.194 1.219 -0.471
O 3.670 -2.591 2.609
O 2.146 3.963 -0.471
O 1.524 -1.219 3.280
O 3.670 1.007 1.772
O 0.000 1.007 1.980
O 3.670 4.174 1.772
O 0.000 4.174 1.980
O 2.146 6.400 0.471
O 1.524 1.219 4.223
O 0.000 7.772 1.143
O -1.524 3.963 4.223
O 1.524 3.963 4.223
```

Most intense lines, 2θ from 10° to 90°, sorted by position:
d_spacing, Rel. int.
3.039, 100
2.995, 92
2.623, 46
2.591, 23
1.843, 57
1.835, 15
1.590, 31
1.570, 41